The following is a computed X-ray diffraction stick pattern of NiSO4. It was derived from DFT lattice parameters and positions (GGA+U), using Cu Ka.
Neutral-atom scattering factors, no anomalous dispersion.

Cell and atoms:
Cell: 4.752 4.752 6.439 Å, 90.00 90.00 113.69°
Fractional coordinates of all 12 atoms:
Ni1 0.000 0.000 0.000
Ni2 0.000 0.000 0.500
S1 0.350 0.650 0.750
S2 0.650 0.350 0.250
O1 0.227 0.302 0.750
O2 0.250 0.750 0.559
O3 0.250 0.750 0.941
O4 0.302 0.227 0.250
O5 0.698 0.773 0.750
O6 0.750 0.250 0.059
O7 0.750 0.250 0.441
O8 0.773 0.698 0.250

Largest 10 diffraction maxima, in order of rising 2θ, 15° ≤ 2θ ≤ 90°:
| two_theta | intensity |
| --- | --- |
| 20.41 | 44 |
| 22.35 | 26 |
| 24.69 | 56 |
| 26.33 | 32 |
| 34.51 | 32 |
| 34.66 | 100 |
| 38.09 | 44 |
| 44.82 | 23 |
| 50.64 | 26 |
| 65.86 | 28 |